(1)
Li6CdPt: computed XRD peak list (Cu Kα), based on a cell relaxed with GGA-PBE.

Principal peaks in the range 5 to 70 degrees two-theta, by angle:
| 2θ (°) | I (rel.) |
| --- | --- |
| 17.94 | 51 |
| 26.61 | 100 |
| 31.33 | 44 |
| 36.33 | 11 |
| 39.60 | 10 |
| 41.56 | 40 |
| 43.78 | 11 |
| 51.34 | 22 |
| 52.96 | 31 |
| 55.77 | 8 |

Atomic structure:
Unit cell a=5.7104 b=5.7104 c=4.5522 alpha=90.00 beta=90.00 gamma=120.00
Fractional coordinates of all 8 atoms:
Li: 0.0013 0.5006 0.0000
Li: 0.1530 0.3059 0.5000
Li: 0.1530 0.8470 0.5000
Li: 0.4994 0.5006 0.0000
Li: 0.4994 0.9987 0.0000
Li: 0.6941 0.8470 0.5000
Cd: 0.6667 0.3333 0.5000
Pt: 0.0000 0.0000 0.0000

(2)
Li6CdPt: computed XRD peak list (Cu Kα), based on a cell relaxed with GGA-PBE.

Principal peaks in the range 5 to 70 degrees two-theta, by angle:
| 2θ (°) | I (rel.) |
| --- | --- |
| 18.55 | 18 |
| 23.94 | 95 |
| 24.70 | 100 |
| 27.04 | 70 |
| 30.26 | 30 |
| 31.06 | 20 |
| 39.60 | 19 |
| 41.03 | 59 |
| 45.51 | 24 |
| 46.81 | 32 |

Atomic structure:
Unit cell a=4.5512 b=5.9066 c=4.7837 alpha=90.00 beta=90.00 gamma=90.00
Fractional coordinates of all 8 atoms:
Li: 0.0000 0.0000 0.0000
Li: 0.0000 0.2295 0.4554
Li: 0.0000 0.7705 0.4554
Li: 0.5000 0.2239 0.8273
Li: 0.5000 0.5000 0.3322
Li: 0.5000 0.7761 0.8273
Cd: 0.0000 0.5000 0.9468
Pt: 0.5000 0.0000 0.3300

(3)
LiCdPt2: computed XRD peak list (Cu Kα), based on a cell relaxed with GGA-PBE.

Principal peaks in the range 5 to 70 degrees two-theta, by angle:
| 2θ (°) | I (rel.) |
| --- | --- |
| 19.27 | 28 |
| 22.31 | 55 |
| 31.28 | 24 |
| 31.71 | 23 |
| 38.76 | 100 |
| 39.12 | 97 |
| 45.14 | 65 |
| 45.54 | 32 |
| 50.92 | 26 |
| 66.06 | 42 |

Atomic structure:
Unit cell a=5.6431 b=7.9679 c=2.8594 alpha=90.00 beta=90.00 gamma=90.00
Fractional coordinates of all 8 atoms:
Li: 0.0000 0.0000 0.0000
Li: 0.5000 0.5000 0.0000
Cd: 0.0000 0.5000 0.0000
Cd: 0.5000 0.0000 0.0000
Pt: 0.2500 0.2500 0.5000
Pt: 0.2500 0.7500 0.5000
Pt: 0.7500 0.2500 0.5000
Pt: 0.7500 0.7500 0.5000

(4)
SrLiCd2Pt2: computed XRD peak list (Cu Kα), based on a cell relaxed with GGA-PBE.

Principal peaks in the range 5 to 70 degrees two-theta, by angle:
| 2θ (°) | I (rel.) |
| --- | --- |
| 12.23 | 53 |
| 20.03 | 17 |
| 26.61 | 100 |
| 27.08 | 14 |
| 29.81 | 13 |
| 36.91 | 37 |
| 38.68 | 45 |
| 46.68 | 46 |
| 47.56 | 42 |
| 55.85 | 15 |

Atomic structure:
Unit cell a=4.6560 b=4.6560 c=14.4728 alpha=90.00 beta=90.00 gamma=90.00
Fractional coordinates of all 12 atoms:
Sr: 0.0000 0.0000 0.0000
Sr: 0.5000 0.5000 0.5000
Li: 0.0000 0.0000 0.5000
Li: 0.5000 0.5000 0.0000
Cd: 0.0000 0.5000 0.2500
Cd: 0.0000 0.5000 0.7500
Cd: 0.5000 0.0000 0.2500
Cd: 0.5000 0.0000 0.7500
Pt: 0.0000 0.0000 0.3463
Pt: 0.0000 0.0000 0.6537
Pt: 0.5000 0.5000 0.1537
Pt: 0.5000 0.5000 0.8463

(5)
LiCd2TePt: computed XRD peak list (Cu Kα), based on a cell relaxed with GGA-PBE.

Principal peaks in the range 5 to 70 degrees two-theta, by angle:
| 2θ (°) | I (rel.) |
| --- | --- |
| 18.16 | 4 |
| 25.80 | 3 |
| 27.10 | 2 |
| 32.82 | 100 |
| 36.81 | 38 |
| 40.52 | 15 |
| 53.04 | 13 |
| 55.88 | 22 |
| 63.79 | 29 |
| 68.83 | 23 |

Atomic structure:
Unit cell a=4.8837 b=4.8837 c=4.4531 alpha=90.00 beta=90.00 gamma=90.00
Fractional coordinates of all 5 atoms:
Li: 0.0000 0.0000 0.0000
Cd: 0.0000 0.5000 0.0000
Cd: 0.5000 0.0000 0.0000
Te: 0.5000 0.5000 0.5000
Pt: 0.0000 0.0000 0.5000

(6)
Li4PuCd: computed XRD peak list (Cu Kα), based on a cell relaxed with GGA-PBE.

Principal peaks in the range 5 to 70 degrees two-theta, by angle:
| 2θ (°) | I (rel.) |
| --- | --- |
| 19.56 | 100 |
| 22.62 | 12 |
| 32.20 | 87 |
| 37.95 | 67 |
| 46.18 | 14 |
| 50.60 | 26 |
| 52.01 | 6 |
| 57.41 | 34 |
| 61.26 | 23 |
| 67.37 | 12 |

Atomic structure:
Unit cell a=5.5597 b=5.5597 c=5.5597 alpha=60.00 beta=60.00 gamma=60.00
Fractional coordinates of all 6 atoms:
Li: 0.3773 0.3773 0.3773
Li: 0.3773 0.3773 0.8682
Li: 0.3773 0.8682 0.3773
Li: 0.8682 0.3773 0.3773
Pu: 0.0000 0.0000 0.0000
Cd: 0.7500 0.7500 0.7500

(7)
LiCdRe2: computed XRD peak list (Cu Kα), based on a cell relaxed with GGA-PBE.

Principal peaks in the range 5 to 70 degrees two-theta, by angle:
| 2θ (°) | I (rel.) |
| --- | --- |
| 15.25 | 100 |
| 27.10 | 26 |
| 30.77 | 23 |
| 38.31 | 83 |
| 39.50 | 95 |
| 42.57 | 32 |
| 45.13 | 53 |
| 45.45 | 32 |
| 50.89 | 22 |
| 65.98 | 34 |

Atomic structure:
Unit cell a=2.7803 b=3.9913 c=5.8116 alpha=90.00 beta=90.00 gamma=90.00
Fractional coordinates of all 4 atoms:
Li: 0.0000 0.0000 0.0000
Cd: 0.5000 0.5000 0.7828
Re: 0.0000 0.0000 0.4593
Re: 0.5000 0.5000 0.2860

(8)
Li6Cd3Rh: computed XRD peak list (Cu Kα), based on a cell relaxed with GGA-PBE.

Principal peaks in the range 5 to 70 degrees two-theta, by angle:
| 2θ (°) | I (rel.) |
| --- | --- |
| 18.78 | 100 |
| 25.42 | 58 |
| 30.73 | 59 |
| 34.35 | 97 |
| 38.10 | 74 |
| 39.43 | 39 |
| 46.75 | 20 |
| 52.22 | 27 |
| 61.51 | 30 |
| 64.01 | 28 |

Atomic structure:
Unit cell a=6.3062 b=6.3062 c=6.3062 alpha=111.80 beta=111.80 gamma=111.80
Fractional coordinates of all 10 atoms:
Li: 0.0882 0.0882 0.8236
Li: 0.0882 0.8236 0.0882
Li: 0.2670 0.2670 0.5884
Li: 0.2670 0.5884 0.2670
Li: 0.5884 0.2670 0.2670
Li: 0.8236 0.0882 0.0882
Cd: 0.2022 0.6916 0.6916
Cd: 0.6916 0.2022 0.6916
Cd: 0.6916 0.6916 0.2022
Rh: 0.6512 0.6512 0.6512

(9)
Li8Cd3Rh2: computed XRD peak list (Cu Kα), based on a cell relaxed with GGA-PBE.

Principal peaks in the range 5 to 70 degrees two-theta, by angle:
| 2θ (°) | I (rel.) |
| --- | --- |
| 8.99 | 19 |
| 18.04 | 93 |
| 25.56 | 100 |
| 36.02 | 99 |
| 39.55 | 78 |
| 40.57 | 84 |
| 44.69 | 24 |
| 54.56 | 26 |
| 58.69 | 19 |
| 67.14 | 31 |

Atomic structure:
Unit cell a=10.2473 b=10.2473 c=10.2473 alpha=28.16 beta=28.16 gamma=28.16
Fractional coordinates of all 13 atoms:
Li: 0.2202 0.2202 0.2202
Li: 0.2355 0.2355 0.7391
Li: 0.2355 0.7391 0.2355
Li: 0.2609 0.7645 0.7645
Li: 0.7391 0.2355 0.2355
Li: 0.7645 0.2609 0.7645
Li: 0.7645 0.7645 0.2609
Li: 0.7798 0.7798 0.7798
Cd: 0.3180 0.3180 0.3180
Cd: 0.5000 0.5000 0.5000
Cd: 0.6820 0.6820 0.6820
Rh: 0.1409 0.1409 0.1409
Rh: 0.8591 0.8591 0.8591

(10)
Li2Cd8Rh3: computed XRD peak list (Cu Kα), based on a cell relaxed with GGA-PBE.

Principal peaks in the range 5 to 70 degrees two-theta, by angle:
| 2θ (°) | I (rel.) |
| --- | --- |
| 13.62 | 42 |
| 27.43 | 29 |
| 28.15 | 54 |
| 31.70 | 12 |
| 39.21 | 100 |
| 39.55 | 49 |
| 40.20 | 88 |
| 40.90 | 42 |
| 56.61 | 16 |
| 58.20 | 28 |

Atomic structure:
Unit cell a=7.7408 b=4.5572 c=7.9847 alpha=90.00 beta=111.70 gamma=90.00
Fractional coordinates of all 13 atoms:
Li: 0.2292 0.0000 0.2514
Li: 0.7708 0.0000 0.7486
Cd: 0.1372 0.5000 0.3707
Cd: 0.1532 0.0000 0.8833
Cd: 0.3706 0.5000 0.1185
Cd: 0.3901 0.0000 0.6330
Cd: 0.6099 0.0000 0.3670
Cd: 0.6294 0.5000 0.8815
Cd: 0.8468 0.0000 0.1167
Cd: 0.8628 0.5000 0.6293
Rh: 0.0000 0.0000 0.5000
Rh: 0.2435 0.5000 0.7386
Rh: 0.7565 0.5000 0.2614

(11)
Li12Cd5Rh2: computed XRD peak list (Cu Kα), based on a cell relaxed with GGA-PBE.

Principal peaks in the range 5 to 70 degrees two-theta, by angle:
| 2θ (°) | I (rel.) |
| --- | --- |
| 12.87 | 92 |
| 22.17 | 87 |
| 22.80 | 32 |
| 35.33 | 19 |
| 36.53 | 16 |
| 36.92 | 100 |
| 39.00 | 24 |
| 40.41 | 21 |
| 45.23 | 16 |
| 49.34 | 37 |

Atomic structure:
Unit cell a=8.3934 b=8.3934 c=8.0187 alpha=118.37 beta=118.37 gamma=43.59
Fractional coordinates of all 19 atoms:
Li: 0.0006 0.0006 0.1924
Li: 0.0843 0.5993 0.1616
Li: 0.0835 0.5985 0.5186
Li: 0.4015 0.9165 0.4814
Li: 0.4007 0.9157 0.8384
Li: 0.4995 0.4995 0.7150
Li: 0.5005 0.5005 0.2850
Li: 0.5993 0.0843 0.1616
Li: 0.5985 0.0835 0.5186
Li: 0.9165 0.4015 0.4814
Li: 0.9157 0.4007 0.8384
Li: 0.9994 0.9994 0.8076
Cd: 0.0000 0.0000 0.5000
Cd: 0.1749 0.1749 0.1746
Cd: 0.3181 0.3181 0.8180
Cd: 0.6819 0.6819 0.1820
Cd: 0.8251 0.8251 0.8254
Rh: 0.2854 0.7146 0.0000
Rh: 0.7146 0.2854 0.0000

(12)
Li6CdRh2: computed XRD peak list (Cu Kα), based on a cell relaxed with GGA-PBE.

Principal peaks in the range 5 to 70 degrees two-theta, by angle:
| 2θ (°) | I (rel.) |
| --- | --- |
| 23.58 | 100 |
| 33.54 | 12 |
| 41.43 | 82 |
| 48.24 | 14 |
| 54.34 | 18 |
| 60.04 | 17 |
| 65.45 | 11 |

Atomic structure:
Unit cell a=5.1105 b=5.1105 c=5.1105 alpha=95.17 beta=95.17 gamma=95.17
Fractional coordinates of all 9 atoms:
Li: 0.0000 0.3270 0.6730
Li: 0.0000 0.6730 0.3270
Li: 0.3270 0.0000 0.6730
Li: 0.3270 0.6730 0.0000
Li: 0.6731 0.0000 0.3270
Li: 0.6731 0.3270 0.0000
Cd: 0.5000 0.5000 0.5000
Rh: 0.1612 0.1612 0.1612
Rh: 0.8388 0.8388 0.8388

(13)
LiCdRh2: computed XRD peak list (Cu Kα), based on a cell relaxed with GGA-PBE.

Principal peaks in the range 5 to 70 degrees two-theta, by angle:
| 2θ (°) | I (rel.) |
| --- | --- |
| 15.75 | 23 |
| 22.98 | 12 |
| 27.98 | 13 |
| 31.77 | 13 |
| 39.56 | 100 |
| 45.48 | 16 |
| 45.58 | 16 |
| 46.95 | 16 |
| 51.59 | 8 |
| 67.47 | 19 |

Atomic structure:
Unit cell a=2.8220 b=3.8704 c=5.6269 alpha=90.00 beta=90.12 gamma=90.00
Fractional coordinates of all 4 atoms:
Li: 0.0000 0.0000 0.0000
Cd: 0.4998 0.5000 0.2525
Rh: 0.0019 0.0000 0.5457
Rh: 0.5024 0.5000 0.7528

(14)
Li2CdRh: computed XRD peak list (Cu Kα), based on a cell relaxed with GGA-PBE.

Principal peaks in the range 5 to 70 degrees two-theta, by angle:
| 2θ (°) | I (rel.) |
| --- | --- |
| 19.42 | 100 |
| 35.20 | 44 |
| 39.14 | 20 |
| 39.42 | 19 |
| 40.51 | 71 |
| 44.05 | 23 |
| 53.87 | 26 |
| 56.77 | 12 |
| 64.14 | 7 |
| 68.39 | 6 |

Atomic structure:
Unit cell a=3.0626 b=4.6029 c=9.1424 alpha=90.00 beta=90.00 gamma=90.00
Fractional coordinates of all 8 atoms:
Li: 0.0000 0.0000 0.2177
Li: 0.0000 0.0000 0.7823
Li: 0.5000 0.5000 0.2177
Li: 0.5000 0.5000 0.7823
Cd: 0.0000 0.5000 0.5000
Cd: 0.5000 0.0000 0.5000
Rh: 0.0000 0.5000 0.0000
Rh: 0.5000 0.0000 0.0000